Record 1
For Lu8Bi2C3N3, a cell relaxed with PBE gives the calculated PXRD pattern in this record (copper Kα).

Unit cell a=3.4681 b=3.4681 c=26.6151 alpha=90.00 beta=90.00 gamma=120.00
Element x y z (fractional)
1 Lu 0.0000 0.0000 0.1473
2 Lu 0.0000 0.0000 0.3454
3 Lu 0.0000 0.0000 0.6546
4 Lu 0.0000 0.0000 0.8527
5 Lu 0.3333 0.6667 0.5538
6 Lu 0.3333 0.6667 0.9511
7 Lu 0.6667 0.3333 0.0489
8 Lu 0.6667 0.3333 0.4462
9 Bi 0.3333 0.6667 0.7573
10 Bi 0.6667 0.3333 0.2427
11 C 0.0000 0.0000 0.5000
12 C 0.3333 0.6667 0.3876
13 C 0.6667 0.3333 0.6124
14 N 0.0000 0.0000 0.0000
15 N 0.3333 0.6667 0.1039
16 N 0.6667 0.3333 0.8961

Principal peaks in the range 2θ from 10° to 90°, in order of rising 2θ:
2θ 29.9, rel. 41; 2θ 32.7, rel. 78; 2θ 33.7, rel. 51; 2θ 34.3, rel. 100; 2θ 36.1, rel. 82; 2θ 52.8, rel. 55; 2θ 57.4, rel. 16; 2θ 60.6, rel. 19; 2θ 64.1, rel. 50; 2θ 64.5, rel. 16


Record 2
For Cu5Ag4, a cell relaxed with PBE gives the calculated PXRD pattern in this record (copper Kα).

Unit cell a=7.2301 b=7.2301 c=6.6541 alpha=91.16 beta=91.16 gamma=22.16
Element x y z (fractional)
1 Cu 0.0000 0.0000 0.0000
2 Cu 0.0991 0.0991 0.6448
3 Cu 0.4531 0.4531 0.6727
4 Cu 0.5469 0.5469 0.3273
5 Cu 0.9009 0.9009 0.3552
6 Ag 0.2145 0.2145 0.3327
7 Ag 0.3430 0.3430 0.0230
8 Ag 0.6570 0.6570 0.9770
9 Ag 0.7855 0.7855 0.6673

Principal peaks in the range 2θ from 10° to 90°, in order of rising 2θ:
2θ 37.4, rel. 7; 2θ 40.2, rel. 100; 2θ 40.7, rel. 32; 2θ 46.5, rel. 45; 2θ 47.6, rel. 16; 2θ 68.4, rel. 10; 2θ 69.1, rel. 10; 2θ 81.5, rel. 8; 2θ 81.8, rel. 7; 2θ 81.9, rel. 7


Record 3
For BaSiAg2TeS3, a cell relaxed with PBE gives the calculated PXRD pattern in this record (copper Kα).

Unit cell a=6.3753 b=6.3998 c=6.5417 alpha=115.08 beta=112.47 gamma=98.00
Element x y z (fractional)
1 Ba 0.0000 0.0000 0.0000
2 Si 0.4422 0.4395 0.9251
3 Ag 0.3155 0.7711 0.4576
4 Ag 0.6826 0.1906 0.4947
5 Te 0.8139 0.7918 0.3434
6 S 0.1309 0.4976 0.9587
7 S 0.4366 0.4421 0.5958
8 S 0.4853 0.1165 0.9296

Principal peaks in the range 2θ from 10° to 90°, in order of rising 2θ:
2θ 16.4, rel. 82; 2θ 27.0, rel. 50; 2θ 27.9, rel. 98; 2θ 28.2, rel. 95; 2θ 28.3, rel. 70; 2θ 29.0, rel. 56; 2θ 29.6, rel. 80; 2θ 34.2, rel. 73; 2θ 34.8, rel. 100; 2θ 37.3, rel. 74


Record 4
For ReBr2O2, a cell relaxed with PBE gives the calculated PXRD pattern in this record (copper Kα).

Unit cell a=7.9214 b=7.9214 c=7.5327 alpha=103.65 beta=103.65 gamma=27.52
Element x y z (fractional)
1 Re 0.0029 0.9971 0.5000
2 Re 0.9971 0.0029 0.0000
3 Br 0.1660 0.1676 0.0800
4 Br 0.1676 0.1660 0.5800
5 Br 0.8321 0.8343 0.9143
6 Br 0.8343 0.8321 0.4143
7 O 0.0002 0.9998 0.2495
8 O 0.9998 0.0002 0.7495
9 O 0.4979 0.5021 0.9999
10 O 0.5021 0.4979 0.4999

Principal peaks in the range 2θ from 10° to 90°, in order of rising 2θ:
2θ 11.9, rel. 34; 2θ 24.4, rel. 100; 2θ 33.6, rel. 31; 2θ 36.1, rel. 19; 2θ 38.5, rel. 30; 2θ 48.3, rel. 16; 2θ 49.1, rel. 15; 2θ 50.2, rel. 20; 2θ 54.8, rel. 22; 2θ 63.4, rel. 14